LiFeSi2O6: simulated XRD peak list (Cu Kα, 1.54184 Å), based on a structure optimized by DFT (PBE+U).

Structural model:
Cell: 5.115 7.858 8.889 Å, 65.28 89.53 89.24°
Space group P1 (No. 1)
Asymmetric unit:
Li (0.000, 0.000, 0.000) [1 per cell]
Li (0.499, 0.221, 0.413) [1 per cell]
Fe (0.010, 0.221, 0.596) [1 per cell]
Fe (0.490, 0.194, 0.077) [1 per cell]
Si (0.050, 0.641, 0.585) [1 per cell]
Si (0.509, 0.025, 0.805) [1 per cell]
Si (0.547, 0.627, 0.795) [1 per cell]
Si (0.990, 0.057, 0.319) [1 per cell]
O (0.070, 0.473, 0.523) [1 per cell]
O (0.140, 0.157, 0.424) [1 per cell]
O (0.157, 0.082, 0.153) [1 per cell]
O (0.193, 0.068, 0.796) [1 per cell]
O (0.339, 0.679, 0.642) [1 per cell]
O (0.448, 0.448, 0.957) [1 per cell]
O (0.571, 0.807, 0.843) [1 per cell]
O (0.637, 0.061, 0.958) [1 per cell]
O (0.646, 0.164, 0.627) [1 per cell]
O (0.700, 0.155, 0.265) [1 per cell]
O (0.838, 0.586, 0.738) [1 per cell]
O (0.951, 0.834, 0.432) [1 per cell]

Top 12 peaks for 10 to 80 degrees two-theta, in order of falling intensity:
- 2θ 20.6, 4.321 Å, I 100.0, (1 0 1)
- 2θ 12.4, 7.138 Å, I 75.4, (0 1 0)
- 2θ 11.0, 8.075 Å, I 46.1, (0 0 1)
- 2θ 24.9, 3.569 Å, I 36.3, (0 2 0)
- 2θ 25.5, 3.496 Å, I 33.3, (0 2 2)
- 2θ 35.1, 2.556 Å, I 24.4, (2 0 0)
- 2θ 12.7, 6.992 Å, I 23.5, (0 1 1)
- 2θ 19.7, 4.496 Å, I 17.5, (0 1 -1)
- 2θ 20.2, 4.387 Å, I 16.5, (0 1 2)
- 2θ 26.3, 3.385 Å, I 12.9, (1 1 -1)
- 2θ 26.5, 3.368 Å, I 10.5, (1 -1 1)
- 2θ 34.9, 2.571 Å, I 10.1, (1 1 3)